Record 1
Diffraction record for ScNiSe. The powder diffractogram is calculated, not measured: it uses a crystal structure in Alexandria, relaxed with GGA-PBE and copper Kα.

The 10 most intense peaks (2θ from 10° to 90°), in order of falling intensity:
- d = 2.488 Å, I 100, (1 0 1)
- d = 1.978 Å, I 64, (1 1 0)
- d = 1.335 Å, I 33, (1 1 2)
- d = 3.618 Å, I 33, (0 0 1)
- d = 1.736 Å, I 24, (1 1 1)
- d = 1.548 Å, I 21, (0 2 1)
- d = 1.219 Å, I 18, (2 1 1)
- d = 1.809 Å, I 16, (0 0 2)
- d = 1.142 Å, I 10, (3 0 0)
- d = 3.426 Å, I 8, (1 0 0)

Cell and atoms:
```
data_ScNiSe
_symmetry_space_group_name_H-M 'P 3 m 1'
_symmetry_Int_Tables_number 156
_symmetry_space_group_name_Hall 'P 3 -2"'
_cell_length_a 3.9562
_cell_length_b 3.9562
_cell_length_c 3.6180
_cell_angle_alpha 90.00
_cell_angle_beta 90.00
_cell_angle_gamma 120.00
loop_
_atom_site_label
_atom_site_type_symbol
_atom_site_fract_x
_atom_site_fract_y
_atom_site_fract_z
Sc1 Sc 0.0000 0.0000 0.0000
Ni1 Ni 0.3333 0.6667 0.5022
Se1 Se 0.6667 0.3333 0.4991
```

---

Record 2
Diffraction record for KMnTe4. The powder diffractogram is calculated, not measured: it uses a crystal structure in Alexandria, relaxed with GGA-PBE and copper Kα.

The 10 most intense peaks (2θ from 10° to 90°), in order of falling intensity:
- d = 6.967 Å, I 100, (1 1 0)
- d = 2.563 Å, I 76, (0 2 2)
- d = 3.097 Å, I 63, (4 0 1)
- d = 7.530 Å, I 53, (2 0 0)
- d = 3.484 Å, I 52, (2 2 0)
- d = 2.623 Å, I 50, (4 2 -1)
- d = 3.275 Å, I 50, (2 0 -2)
- d = 2.077 Å, I 42, (1 3 -2)
- d = 1.950 Å, I 41, (6 2 1)
- d = 2.478 Å, I 40, (6 0 -1)

Cell and atoms:
```
data_KMnTe4
_symmetry_space_group_name_H-M 'C 1 2/m 1'
_symmetry_Int_Tables_number 12
_symmetry_space_group_name_Hall '-C 2y'
_cell_length_a 15.2335
_cell_length_b 7.8588
_cell_length_c 6.8427
_cell_angle_alpha 90.00
_cell_angle_beta 98.67
_cell_angle_gamma 90.00
loop_
_atom_site_label
_atom_site_type_symbol
_atom_site_fract_x
_atom_site_fract_y
_atom_site_fract_z
K1 K 0.1920 0.0000 0.1699
Mn1 Mn 0.0107 0.5000 0.3060
Te1 Te 0.0000 0.2971 0.0000
Te2 Te 0.0939 0.2786 0.5497
Te3 Te 0.1934 0.5000 0.2775
```

---

Record 3
Diffraction record for DyTa3O9. The powder diffractogram is calculated, not measured: it uses a crystal structure in Alexandria, relaxed with GGA-PBE and copper Kα.

The 10 most intense peaks (2θ from 10° to 90°), in order of falling intensity:
- d = 3.338 Å, I 100, (1 0 -2)
- d = 2.853 Å, I 84, (1 2 1)
- d = 3.201 Å, I 75, (1 0 2)
- d = 3.759 Å, I 62, (0 2 0)
- d = 2.649 Å, I 56, (2 0 0)
- d = 2.899 Å, I 47, (1 2 -1)
- d = 3.066 Å, I 46, (1 2 0)
- d = 2.496 Å, I 39, (1 2 -2)
- d = 2.228 Å, I 36, (0 2 3)
- d = 1.677 Å, I 35, (2 2 3)

Cell and atoms:
```
data_DyTa3O9
_symmetry_space_group_name_H-M 'P 1 21/m 1'
_symmetry_Int_Tables_number 11
_symmetry_space_group_name_Hall '-P 2yb'
_cell_length_a 5.3031
_cell_length_b 7.5174
_cell_length_c 8.3092
_cell_angle_alpha 90.00
_cell_angle_beta 92.48
_cell_angle_gamma 90.00
loop_
_atom_site_label
_atom_site_type_symbol
_atom_site_fract_x
_atom_site_fract_y
_atom_site_fract_z
Dy1 Dy 0.0343 0.2500 0.4347
Ta1 Ta 0.0000 0.0000 0.0000
Ta2 Ta 0.4715 0.0072 0.6964
O1 O 0.0960 0.2500 0.9786
O2 O 0.1487 0.5644 0.7846
O3 O 0.2578 0.5431 0.4674
O4 O 0.3249 0.5536 0.1209
O5 O 0.3355 0.2500 0.6540
O6 O 0.4226 0.2500 0.3142
```